# 1
Diffraction record for RbUMn2Se4. The XRD peak list is computed, not measured: it uses a DFT-relaxed cell (PBE, Alexandria) and Cu Kα (λ = 1.5418 Å).
Intensities are scaled so that the largest is 1000.

Structural model:
```
data_RbUMn2Se4
_cell_length_a 5.255
_cell_length_b 8.823
_cell_length_c 11.735
_cell_angle_alpha 90.00
_cell_angle_beta 90.00
_cell_angle_gamma 90.00
_symmetry_space_group_name_H-M 'I 2 2 2'
_symmetry_Int_Tables_number 23
loop_
_symmetry_equiv_pos_as_xyz
'x,y,z'
'-x,-y,z'
'x,-y,-z'
'-x,y,-z'
'x+1/2,y+1/2,z+1/2'
'-x+1/2,-y+1/2,z+1/2'
'x+1/2,-y+1/2,-z+1/2'
'-x+1/2,y+1/2,-z+1/2'
loop_
_atom_site_label
_atom_site_fract_x
_atom_site_fract_y
_atom_site_fract_z
Rb1 0.000 0.000 0.000
U1 0.000 0.000 0.500
Mn1 0.000 0.500 0.083
Se1 0.236 0.191 0.348
```

Top 10 peaks for 10° ≤ 2θ ≤ 90°, sorted by position:
two_theta, I (rel.), hkl
12.55, 1000, 0 1 1
15.10, 241, 0 0 2
19.66, 164, 1 1 0
24.88, 635, 1 1 2
25.26, 435, 0 2 2
36.52, 325, 1 1 4
37.50, 173, 2 0 2
38.28, 253, 0 3 3
39.93, 276, 2 2 0
47.03, 256, 2 3 1



# 2
Diffraction record for RbMnVSe4. The XRD peak list is computed, not measured: it uses a DFT-relaxed cell (PBE, Alexandria) and Cu Kα (λ = 1.5418 Å).
Intensities are scaled so that the largest is 1000.

Structural model:
```
data_RbMnVSe4
_cell_length_a 6.399
_cell_length_b 6.923
_cell_length_c 8.666
_cell_angle_alpha 90.00
_cell_angle_beta 93.73
_cell_angle_gamma 90.00
_symmetry_space_group_name_H-M 'P 1 21/m 1'
_symmetry_Int_Tables_number 11
loop_
_symmetry_equiv_pos_as_xyz
'x,y,z'
'-x,-y,-z'
'-x,y+1/2,-z'
'x,-y+1/2,z'
loop_
_atom_site_label
_atom_site_fract_x
_atom_site_fract_y
_atom_site_fract_z
Rb1 0.212 0.250 0.050
Mn1 0.367 0.250 0.641
V1 0.169 0.750 0.465
Se1 0.092 0.006 0.671
Se2 0.317 0.750 0.197
Se3 0.495 0.250 0.393
```

Top 10 peaks for 10° ≤ 2θ ≤ 90°, sorted by position:
two_theta, I (rel.), hkl
10.23, 1000, 0 0 1
24.10, 288, 1 0 -2
25.62, 357, 1 0 2
25.74, 319, 0 2 0
28.73, 335, 1 1 2
29.18, 460, 2 0 -1
29.35, 675, 1 2 0
30.85, 852, 1 2 -1
33.16, 601, 2 1 1
35.77, 457, 1 1 -3



# 3
Diffraction record for RbYMnSe4. The XRD peak list is computed, not measured: it uses a DFT-relaxed cell (PBE, Alexandria) and Cu Kα (λ = 1.5418 Å).
Intensities are scaled so that the largest is 1000.

Structural model:
```
data_RbYMnSe4
_cell_length_a 6.715
_cell_length_b 6.663
_cell_length_c 9.585
_cell_angle_alpha 90.00
_cell_angle_beta 108.78
_cell_angle_gamma 90.00
_symmetry_space_group_name_H-M 'P 1 21/m 1'
_symmetry_Int_Tables_number 11
loop_
_symmetry_equiv_pos_as_xyz
'x,y,z'
'-x,-y,-z'
'-x,y+1/2,-z'
'x,-y+1/2,z'
loop_
_atom_site_label
_atom_site_fract_x
_atom_site_fract_y
_atom_site_fract_z
Rb1 0.243 0.250 0.441
Y1 0.265 0.250 0.950
Mn1 0.279 0.750 0.172
Se1 0.078 0.750 0.327
Se2 0.082 0.750 0.926
Se3 0.477 0.509 0.794
```

Top 10 peaks for 10° ≤ 2θ ≤ 90°, sorted by position:
two_theta, I (rel.), hkl
26.76, 485, 0 2 0
27.58, 622, 1 0 2
28.64, 835, 2 0 -2
30.29, 1000, 1 2 0
30.73, 999, 1 1 2
31.69, 720, 2 1 -2
33.36, 590, 0 2 2
33.67, 634, 1 2 -2
39.17, 538, 2 2 0
55.14, 412, 0 4 0



# 4
Diffraction record for Rb2Mn2Te3. The XRD peak list is computed, not measured: it uses a DFT-relaxed cell (PBE, Alexandria) and Cu Kα (λ = 1.5418 Å).
Intensities are scaled so that the largest is 1000.

Structural model:
```
data_Rb2Mn2Te3
_cell_length_a 18.191
_cell_length_b 16.290
_cell_length_c 7.813
_cell_angle_alpha 90.00
_cell_angle_beta 114.59
_cell_angle_gamma 90.00
_symmetry_space_group_name_H-M 'C 1 2/c 1'
_symmetry_Int_Tables_number 15
loop_
_symmetry_equiv_pos_as_xyz
'x,y,z'
'-x,-y,-z'
'-x,y,-z+1/2'
'x,-y,z+1/2'
'x+1/2,y+1/2,z'
'-x+1/2,-y+1/2,-z'
'-x+1/2,y+1/2,-z+1/2'
'x+1/2,-y+1/2,z+1/2'
loop_
_atom_site_label
_atom_site_fract_x
_atom_site_fract_y
_atom_site_fract_z
Rb1 0.000 0.062 0.250
Rb2 0.000 0.211 0.750
Rb3 0.105 0.410 0.569
Mn1 0.195 0.230 0.263
Mn2 0.225 0.074 0.800
Te1 0.119 0.371 0.081
Te2 0.150 0.202 0.558
Te3 0.173 0.074 0.090
```

Top 10 peaks for 10° ≤ 2θ ≤ 90°, sorted by position:
two_theta, I (rel.), hkl
22.58, 976, 1 3 1
22.76, 651, 2 0 -2
25.25, 470, 2 4 -1
25.36, 926, 4 0 -2
27.51, 839, 5 1 0
29.48, 1000, 2 4 1
31.27, 414, 2 0 2
31.74, 363, 6 0 -2
36.26, 383, 7 1 -2
38.32, 560, 3 3 -3



# 5
Diffraction record for Rb2Mn3Te4. The XRD peak list is computed, not measured: it uses a DFT-relaxed cell (PBE, Alexandria) and Cu Kα (λ = 1.5418 Å).
Intensities are scaled so that the largest is 1000.

Structural model:
```
data_Rb2Mn3Te4
_cell_length_a 6.554
_cell_length_b 12.876
_cell_length_c 15.224
_cell_angle_alpha 90.00
_cell_angle_beta 90.00
_cell_angle_gamma 90.00
_symmetry_space_group_name_H-M 'I b a m'
_symmetry_Int_Tables_number 72
_symmetry_space_group_name_Hall '-I 2 2c'
loop_
_atom_site_label
_atom_site_fract_x
_atom_site_fract_y
_atom_site_fract_z
Rb1 0.237 0.125 0.000
Mn1 0.000 0.237 0.250
Mn2 0.000 0.500 0.250
Te1 0.230 0.370 0.144
```

Top 10 peaks for 10° ≤ 2θ ≤ 90°, sorted by position:
two_theta, I (rel.), hkl
26.17, 1000, 1 2 3
27.21, 136, 2 0 0
27.71, 140, 0 4 0
35.37, 111, 0 0 6
39.23, 286, 2 4 0
45.19, 129, 2 0 6
45.52, 124, 0 4 6
47.46, 177, 3 2 3
48.08, 183, 1 6 3
63.48, 146, 2 4 8



# 6
Diffraction record for Rb2ZrMnTe4. The XRD peak list is computed, not measured: it uses a DFT-relaxed cell (PBE, Alexandria) and Cu Kα (λ = 1.5418 Å).
Intensities are scaled so that the largest is 1000.

Structural model:
```
data_Rb2ZrMnTe4
_cell_length_a 6.586
_cell_length_b 15.145
_cell_length_c 26.981
_cell_angle_alpha 90.00
_cell_angle_beta 90.00
_cell_angle_gamma 90.00
_symmetry_space_group_name_H-M 'F d d d'
_symmetry_Int_Tables_number 70
loop_
_symmetry_equiv_pos_as_xyz
'x,y,z'
'-x,-y,-z'
'-x+1/4,-y+1/4,z'
'x+1/4,y+1/4,-z'
'x,-y+1/4,-z+1/4'
'-x,y+1/4,z+1/4'
'-x+1/4,y,-z+1/4'
'x+1/4,-y,z+1/4'
'x,y+1/2,z+1/2'
'-x,-y+1/2,-z+1/2'
'-x+1/4,-y+3/4,z+1/2'
'x+1/4,y+3/4,-z+1/2'
'x,-y+3/4,-z+3/4'
'-x,y+3/4,z+3/4'
'-x+1/4,y+1/2,-z+3/4'
'x+1/4,-y+1/2,z+3/4'
'x+1/2,y,z+1/2'
'-x+1/2,-y,-z+1/2'
'-x+3/4,-y+1/4,z+1/2'
'x+3/4,y+1/4,-z+1/2'
'x+1/2,-y+1/4,-z+3/4'
'-x+1/2,y+1/4,z+3/4'
'-x+3/4,y,-z+3/4'
'x+3/4,-y,z+3/4'
'x+1/2,y+1/2,z'
'-x+1/2,-y+1/2,-z'
'-x+3/4,-y+3/4,z'
'x+3/4,y+3/4,-z'
'x+1/2,-y+3/4,-z+1/4'
'-x+1/2,y+3/4,z+1/4'
'-x+3/4,y+1/2,-z+1/4'
'x+3/4,-y+1/2,z+1/4'
loop_
_atom_site_label
_atom_site_fract_x
_atom_site_fract_y
_atom_site_fract_z
Rb1 0.125 0.125 0.306
Zr1 0.125 0.125 0.125
Mn1 0.125 0.125 0.625
Te1 0.122 0.271 0.818
```

Top 10 peaks for 10° ≤ 2θ ≤ 90°, sorted by position:
two_theta, I (rel.), hkl
13.13, 282, 0 0 4
22.43, 324, 1 3 1
24.32, 1000, 1 3 3
26.43, 342, 0 0 8
27.73, 1000, 1 3 5
27.89, 282, 2 0 2
33.74, 485, 2 0 6
36.78, 311, 2 4 2
43.36, 326, 2 0 10
45.27, 300, 2 6 0



# 7
Diffraction record for RbTiMn2. The XRD peak list is computed, not measured: it uses a DFT-relaxed cell (PBE, Alexandria) and Cu Kα (λ = 1.5418 Å).
Intensities are scaled so that the largest is 1000.

Structural model:
```
data_RbTiMn2
_cell_length_a 5.592
_cell_length_b 5.592
_cell_length_c 15.938
_cell_angle_alpha 90.00
_cell_angle_beta 90.00
_cell_angle_gamma 90.00
_symmetry_space_group_name_H-M 'I 41/a m d'
_symmetry_Int_Tables_number 141
loop_
_symmetry_equiv_pos_as_xyz
'x,y,z'
'-x,-y,-z'
'-y+1/4,x+3/4,z+1/4'
'y+1/4,-x+3/4,-z+1/4'
'-x+1/2,-y,z+1/2'
'x+1/2,y,-z+1/2'
'y+1/4,-x+1/4,z+3/4'
'-y+1/4,x+1/4,-z+3/4'
'x,-y,-z'
'-x,y,z'
'-y+1/4,-x+1/4,-z+3/4'
'y+1/4,x+1/4,z+3/4'
'-x+1/2,y,-z+1/2'
'x+1/2,-y,z+1/2'
'y+1/4,x+3/4,-z+1/4'
'-y+1/4,-x+3/4,z+1/4'
'x+1/2,y+1/2,z+1/2'
'-x+1/2,-y+1/2,-z+1/2'
'-y+3/4,x+1/4,z+3/4'
'y+3/4,-x+1/4,-z+3/4'
'-x,-y+1/2,z'
'x,y+1/2,-z'
'y+3/4,-x+3/4,z+1/4'
'-y+3/4,x+3/4,-z+1/4'
'x+1/2,-y+1/2,-z+1/2'
'-x+1/2,y+1/2,z+1/2'
'-y+3/4,-x+3/4,-z+1/4'
'y+3/4,x+3/4,z+1/4'
'-x,y+1/2,-z'
'x,-y+1/2,z'
'y+3/4,x+1/4,-z+3/4'
'-y+3/4,-x+1/4,z+3/4'
loop_
_atom_site_label
_atom_site_fract_x
_atom_site_fract_y
_atom_site_fract_z
Rb1 0.000 0.250 0.375
Ti1 0.000 0.250 0.875
Mn1 0.000 0.000 0.000
```

Top 10 peaks for 10° ≤ 2θ ≤ 90°, sorted by position:
two_theta, I (rel.), hkl
23.09, 476, 1 0 3
25.14, 1000, 1 1 2
32.01, 264, 2 0 0
32.33, 200, 1 0 5
33.98, 315, 2 0 2
36.36, 289, 2 1 1
39.37, 292, 2 0 4
40.93, 261, 1 1 6
51.60, 428, 2 2 4
53.04, 236, 3 1 2



# 8
Diffraction record for RbTiMn2. The XRD peak list is computed, not measured: it uses a DFT-relaxed cell (PBE, Alexandria) and Cu Kα (λ = 1.5418 Å).
Intensities are scaled so that the largest is 1000.

Structural model:
```
data_RbTiMn2
_cell_length_a 7.117
_cell_length_b 7.117
_cell_length_c 7.117
_cell_angle_alpha 90.00
_cell_angle_beta 90.00
_cell_angle_gamma 90.00
_symmetry_space_group_name_H-M 'F m -3 m'
_symmetry_Int_Tables_number 225
_symmetry_space_group_name_Hall '-F 4 2 3'
loop_
_atom_site_label
_atom_site_fract_x
_atom_site_fract_y
_atom_site_fract_z
Rb1 0.000 0.000 0.000
Ti1 0.000 0.000 0.500
Mn1 0.250 0.250 0.250
```

Top 10 peaks for 10° ≤ 2θ ≤ 90°, sorted by position:
two_theta, I (rel.), hkl
21.63, 57, 1 1 1
35.68, 1000, 2 2 0
42.11, 32, 3 1 1
51.35, 165, 4 0 0
56.35, 15, 3 3 1
64.10, 324, 4 2 2
68.51, 12, 5 1 1
75.58, 98, 4 4 0
79.71, 12, 5 3 1
86.48, 137, 6 2 0



# 9
Diffraction record for RbY2Mn. The XRD peak list is computed, not measured: it uses a DFT-relaxed cell (PBE, Alexandria) and Cu Kα (λ = 1.5418 Å).
Intensities are scaled so that the largest is 1000.

Structural model:
Unit cell a=11.116 b=11.116 c=11.116 alpha=90.00 beta=90.00 gamma=90.00
Space group Fd-3m (No. 227, origin choice 2)
One atom of each set of equivalent atoms:
Rb  0.125  0.125  0.125 [8 per cell]
Y  0.000  0.000  0.500 [16 per cell]
Mn  0.125  0.125  0.625 [8 per cell]

Top 10 peaks for 10° ≤ 2θ ≤ 90°, sorted by position:
two_theta, I (rel.), hkl
13.80, 524, 1 1 1
22.62, 1000, 2 2 0
26.59, 813, 3 1 1
27.80, 636, 2 2 2
39.72, 441, 4 2 2
42.24, 306, 5 1 1
46.20, 728, 4 4 0
54.78, 273, 6 2 2
62.53, 218, 6 4 2
85.61, 233, 8 4 4



# 10
Diffraction record for Rb2YMn4. The XRD peak list is computed, not measured: it uses a DFT-relaxed cell (PBE, Alexandria) and Cu Kα (λ = 1.5418 Å).
Intensities are scaled so that the largest is 1000.

Structural model:
```
data_Rb2YMn4
_cell_length_a 5.551
_cell_length_b 5.551
_cell_length_c 18.303
_cell_angle_alpha 90.00
_cell_angle_beta 90.00
_cell_angle_gamma 90.00
_symmetry_space_group_name_H-M 'I 4/m m m'
_symmetry_Int_Tables_number 139
_symmetry_space_group_name_Hall '-I 4 2'
loop_
_atom_site_label
_atom_site_fract_x
_atom_site_fract_y
_atom_site_fract_z
Rb1 0.000 0.000 0.139
Y1 0.000 0.000 0.500
Mn1 0.000 0.000 0.351
Mn2 0.000 0.500 0.000
```

Top 10 peaks for 10° ≤ 2θ ≤ 90°, sorted by position:
two_theta, I (rel.), hkl
21.64, 413, 1 0 3
22.65, 723, 1 1 0
29.26, 625, 0 0 6
29.99, 779, 1 1 4
32.25, 1000, 2 0 0
44.11, 636, 2 0 6
46.26, 349, 2 2 0
51.78, 285, 2 0 8
55.69, 272, 2 2 6
56.12, 238, 3 1 4



# 11
Diffraction record for MnRe3. The XRD peak list is computed, not measured: it uses a DFT-relaxed cell (PBE, Alexandria) and Cu Kα (λ = 1.5418 Å).
Intensities are scaled so that the largest is 1000.

Structural model:
```
data_MnRe3
_cell_length_a 8.6992
_cell_length_b 8.6992
_cell_length_c 2.6686
_cell_angle_alpha 90.00
_cell_angle_beta 90.00
_cell_angle_gamma 120.00
_symmetry_space_group_name_H-M 'R -3 m'
_symmetry_Int_Tables_number 166
_symmetry_space_group_name_Hall '-R 3 2"'
loop_
_atom_site_label
_atom_site_fract_x
_atom_site_fract_y
_atom_site_fract_z
Mn1 0.0000 0.0000 0.0000
Re1 0.0000 0.5000 0.0000
```

Top 10 peaks for 10° ≤ 2θ ≤ 90°, sorted by position:
two_theta, I (rel.), hkl
20.42, 130, 1 1 0
35.72, 67, 3 0 0
41.50, 1000, 2 2 0
46.65, 33, 2 1 1
55.91, 39, 4 1 0
60.13, 168, 4 0 1
64.22, 20, 3 3 0
75.60, 86, 2 0 2
75.73, 257, 6 0 0
79.42, 15, 5 2 0



# 12
Diffraction record for MnRe3. The XRD peak list is computed, not measured: it uses a DFT-relaxed cell (PBE, Alexandria) and Cu Kα (λ = 1.5418 Å).
Intensities are scaled so that the largest is 1000.

Structural model:
```
data_MnRe3
_cell_length_a 6.148
_cell_length_b 6.148
_cell_length_c 6.148
_cell_angle_alpha 90.00
_cell_angle_beta 90.00
_cell_angle_gamma 90.00
_symmetry_space_group_name_H-M 'F m -3 m'
_symmetry_Int_Tables_number 225
_symmetry_space_group_name_Hall '-F 4 2 3'
loop_
_atom_site_label
_atom_site_fract_x
_atom_site_fract_y
_atom_site_fract_z
Mn1 0.000 0.000 0.000
Re1 0.000 0.000 0.500
Re2 0.250 0.250 0.250
```

Top 10 peaks for 10° ≤ 2θ ≤ 90°, sorted by position:
two_theta, I (rel.), hkl
25.09, 108, 1 1 1
29.05, 56, 2 0 0
41.54, 1000, 2 2 0
49.15, 57, 3 1 1
51.49, 17, 2 2 2
60.20, 168, 4 0 0
66.26, 24, 3 3 1
68.21, 22, 4 2 0
75.80, 343, 4 2 2
81.31, 19, 5 1 1



# 13
Diffraction record for MnRe4. The XRD peak list is computed, not measured: it uses a DFT-relaxed cell (PBE, Alexandria) and Cu Kα (λ = 1.5418 Å).
Intensities are scaled so that the largest is 1000.

Structural model:
```
data_MnRe4
_cell_length_a 6.093
_cell_length_b 6.093
_cell_length_c 3.881
_cell_angle_alpha 90.00
_cell_angle_beta 90.00
_cell_angle_gamma 90.00
_symmetry_space_group_name_H-M 'I 4/m'
_symmetry_Int_Tables_number 87
_symmetry_space_group_name_Hall '-I 4'
loop_
_atom_site_label
_atom_site_fract_x
_atom_site_fract_y
_atom_site_fract_z
Mn1 0.000 0.000 0.000
Re1 0.102 0.704 0.500
```

Top 10 peaks for 10° ≤ 2θ ≤ 90°, sorted by position:
two_theta, I (rel.), hkl
20.61, 52, 1 1 0
27.24, 77, 1 0 1
40.45, 1000, 1 2 1
46.81, 161, 0 0 2
47.17, 327, 3 1 0
68.64, 214, 3 1 2
68.92, 102, 2 4 0
82.54, 129, 1 2 3
83.07, 249, 5 0 1
87.47, 112, 2 4 2